No. 1
Simulated powder X-ray diffraction pattern of FeH10S2N4O8 for Cu Kα X-rays, from a cell relaxed with GGA+U.

Largest 8 diffraction maxima, most intense first, 10° ≤ 2θ ≤ 80°:
| hkl | 2θ (°) | d [Å] | I (rel.) |
| --- | --- | --- | --- |
| 0 1 -1 | 18.72 | 4.740 | 100 |
| 0 0 1 | 12.17 | 7.275 | 84 |
| -1 1 1 | 22.40 | 3.969 | 70 |
| 1 1 0 | 24.65 | 3.611 | 62 |
| 0 1 -2 | 27.94 | 3.194 | 43 |
| -1 1 2 | 29.20 | 3.058 | 40 |
| 2 0 -1 | 33.53 | 2.672 | 40 |
| 1 1 1 | 30.33 | 2.947 | 35 |

Crystal structure
a = 5.3955 Å, b = 5.9580 Å, c = 7.6383 Å
α = 91.50°, β = 107.34°, γ = 97.33°
Fractional coordinates of all 25 atoms:
Fe  0.0000  0.0000  0.0000
H  0.0476  0.4999  0.2076
H  0.0957  0.1826  0.7043
H  0.2069  0.9507  0.3736
H  0.2367  0.5892  0.4277
H  0.3543  0.6428  0.2488
H  0.6457  0.3572  0.7512
H  0.7633  0.4108  0.5723
H  0.7931  0.0493  0.6264
H  0.9043  0.8174  0.2957
H  0.9524  0.5001  0.7924
S  0.3822  0.7603  0.7817
S  0.6178  0.2397  0.2183
N  0.0809  0.8432  0.2680
N  0.1867  0.6307  0.2888
N  0.8133  0.3693  0.7112
N  0.9191  0.1568  0.7320
O  0.1872  0.7420  0.8893
O  0.3238  0.5480  0.6588
O  0.3476  0.2299  0.0869
O  0.3604  0.9627  0.6730
O  0.6396  0.0373  0.3270
O  0.6524  0.7701  0.9131
O  0.6762  0.4520  0.3412
O  0.8128  0.2580  0.1107



No. 2
Simulated powder X-ray diffraction pattern of K2RbDyV2O8 for Cu Kα X-rays, from a cell relaxed with GGA+U.

Largest 8 diffraction maxima, most intense first, 10° ≤ 2θ ≤ 80°:
| hkl | 2θ (°) | d [Å] | I (rel.) |
| --- | --- | --- | --- |
| 0 1 2 | 28.45 | 3.137 | 100 |
| 1 1 0 | 29.65 | 3.013 | 87 |
| 2 0 2 | 41.56 | 2.173 | 48 |
| 1 0 0 | 16.99 | 5.218 | 37 |
| 1 2 2 | 51.88 | 1.762 | 35 |
| 1 1 4 | 55.90 | 1.645 | 24 |
| 1 0 1 | 20.44 | 4.346 | 24 |
| 0 0 1 | 11.27 | 7.852 | 20 |

Crystal structure
a = 6.0252 Å, b = 6.0252 Å, c = 7.8524 Å
α = 90.00°, β = 90.00°, γ = 120.00°
Fractional coordinates of all 14 atoms:
K  0.3333  0.6667  0.2020
K  0.6667  0.3333  0.7980
Rb  0.0000  0.0000  0.5000
Dy  0.0000  0.0000  0.0000
V  0.3333  0.6667  0.7527
V  0.6667  0.3333  0.2473
O  0.1742  0.3484  0.8292
O  0.1742  0.8258  0.8292
O  0.3333  0.6667  0.5386
O  0.3484  0.1742  0.1708
O  0.6516  0.8258  0.8292
O  0.6667  0.3333  0.4614
O  0.8258  0.1742  0.1708
O  0.8258  0.6516  0.1708



No. 3
Simulated powder X-ray diffraction pattern of LiCoPO4 for Cu Kα X-rays, from a cell relaxed with GGA+U.

Largest 8 diffraction maxima, most intense first, 10° ≤ 2θ ≤ 80°:
| hkl | 2θ (°) | d [Å] | I (rel.) |
| --- | --- | --- | --- |
| 2 0 0 | 23.94 | 3.717 | 100 |
| 0 2 0 | 21.62 | 4.110 | 68 |
| 0 1 1 | 19.58 | 4.533 | 47 |
| 2 3 1 | 44.32 | 2.044 | 40 |
| 0 3 1 | 36.73 | 2.447 | 38 |
| 2 1 1 | 31.11 | 2.875 | 36 |
| 0 0 2 | 32.96 | 2.717 | 33 |
| 0 2 2 | 39.77 | 2.267 | 24 |

Crystal structure
a = 7.4347 Å, b = 8.2202 Å, c = 5.4346 Å
α = 90.00°, β = 90.00°, γ = 90.00°
Fractional coordinates of all 28 atoms:
Li  0.0792  0.2480  0.0000
Li  0.4208  0.7480  0.5000
Li  0.5792  0.2520  0.0000
Li  0.9208  0.7520  0.5000
Co  0.2352  0.5613  0.9847
Co  0.2648  0.0613  0.4847
Co  0.7352  0.9387  0.9847
Co  0.7648  0.4387  0.4847
P  0.2005  0.4237  0.4911
P  0.2995  0.9237  0.9911
P  0.7005  0.0763  0.4911
P  0.7995  0.5763  0.9911
O  0.0196  0.5146  0.4603
O  0.1693  0.0358  0.1392
O  0.1748  0.2615  0.6383
O  0.2201  0.8814  0.7330
O  0.2799  0.3814  0.2330
O  0.3252  0.7615  0.1383
O  0.3307  0.5358  0.6392
O  0.4804  0.0146  0.9603
O  0.5196  0.9854  0.4603
O  0.6693  0.4642  0.1392
O  0.6748  0.2385  0.6383
O  0.7201  0.6186  0.7330
O  0.7799  0.1186  0.2330
O  0.8252  0.7385  0.1383
O  0.8307  0.9642  0.6392
O  0.9804  0.4854  0.9603



No. 4
Simulated powder X-ray diffraction pattern of Li4Ni2P4H3O16 for Cu Kα X-rays, from a cell relaxed with GGA+U.

Largest 8 diffraction maxima, most intense first, 10° ≤ 2θ ≤ 80°:
| hkl | 2θ (°) | d [Å] | I (rel.) |
| --- | --- | --- | --- |
| 1 1 0 | 23.75 | 3.746 | 100 |
| 1 -2 1 | 29.30 | 3.048 | 67 |
| 0 1 -1 | 15.85 | 5.592 | 61 |
| 0 1 1 | 16.46 | 5.387 | 48 |
| -1 2 1 | 29.43 | 3.035 | 44 |
| 0 2 -2 | 32.01 | 2.796 | 38 |
| 0 2 2 | 33.26 | 2.693 | 35 |
| -1 1 1 | 22.43 | 3.963 | 30 |

Crystal structure
a = 4.9759 Å, b = 7.5630 Å, c = 8.1730 Å
α = 91.76°, β = 91.79°, γ = 101.35°
Fractional coordinates of all 29 atoms:
Li  0.0000  0.0000  0.0000
Li  0.2179  0.3203  0.7392
Li  0.4922  0.4719  0.2211
Li  0.7352  0.8445  0.5160
Ni  0.1124  0.1595  0.3681
Ni  0.6150  0.6541  0.8724
P  0.2383  0.9129  0.7159
P  0.5108  0.9124  0.2018
P  0.7152  0.4042  0.5363
P  0.9894  0.3949  0.0200
H  0.0294  0.5927  0.4380
H  0.1966  0.7211  0.2975
H  0.5648  0.1359  0.8556
O  0.0086  0.8191  0.8209
O  0.0966  0.3606  0.1938
O  0.1289  0.9592  0.5482
O  0.2248  0.4979  0.9209
O  0.2666  0.0060  0.1850
O  0.3666  0.1016  0.8079
O  0.3914  0.7210  0.2879
O  0.4684  0.8031  0.6940
O  0.4897  0.3133  0.4154
O  0.5999  0.4562  0.6988
O  0.6234  0.8598  0.0387
O  0.7373  0.0029  0.3227
O  0.7656  0.5136  0.0453
O  0.8365  0.5962  0.4515
O  0.8623  0.2153  0.9297
O  0.9593  0.3108  0.5529